Entry 1:
Diffraction record for LiVO2F2. The powder X-ray diffraction pattern is theoretical, not measured: it uses a DFT-relaxed cell (GGA+U, the Materials Project) and Cu Kα, 1.54184 Å.
Kinematic intensities with the Lorentz-polarization factor, no thermal factor.

Peak list (10 most intense, 2θ from 5° to 70°, most intense first)
(hkl), two_theta, I (rel.)
1 1 0, 21.8, 100
1 0 -2, 24.5, 66
2 1 0, 30.6, 48
1 0 0, 12.2, 48
0 1 2, 30.5, 38
3 1 -1, 40.7, 25
2 2 2, 54.4, 24
1 1 -3, 40.5, 22
0 0 2, 24.3, 21
1 2 1, 41.6, 18

Structural model:
a = 7.4775 Å, b = 4.9159 Å, c = 7.5368 Å
α = 90.00°, β = 103.79°, γ = 90.00°
Atoms (fractional coordinates):
Li  0.1256  0.2449  0.3626
Li  0.1256  0.2551  0.8626
Li  0.8744  0.7449  0.1374
Li  0.8744  0.7551  0.6374
V  0.3389  0.7330  0.1629
V  0.3389  0.7670  0.6629
V  0.6611  0.2330  0.3371
V  0.6611  0.2670  0.8371
O  0.3158  0.6157  0.9528
O  0.3158  0.8843  0.4528
O  0.4625  0.0607  0.8002
O  0.4625  0.4393  0.3002
O  0.5375  0.5607  0.6998
O  0.5375  0.9393  0.1998
O  0.6842  0.1157  0.5472
O  0.6842  0.3843  0.0472
F  0.1134  0.5642  0.2021
F  0.1134  0.9358  0.7021
F  0.1831  0.0436  0.1072
F  0.1831  0.4564  0.6072
F  0.8169  0.5436  0.3928
F  0.8169  0.9564  0.8928
F  0.8866  0.0642  0.2979
F  0.8866  0.4358  0.7979

***

Entry 2:
Diffraction record for Co3P2O8. The powder X-ray diffraction pattern is theoretical, not measured: it uses a DFT-relaxed cell (GGA+U, the Materials Project) and Cu Kα, 1.54184 Å.
Kinematic intensities with the Lorentz-polarization factor, no thermal factor.

Peak list (10 most intense, 2θ from 5° to 70°, most intense first)
(hkl), two_theta, I (rel.)
0 1 2, 25.4, 100
1 0 0, 20.2, 83
1 3 -1, 36.5, 45
1 0 -2, 21.8, 38
1 1 0, 22.8, 28
1 2 1, 35.2, 27
1 3 1, 42.8, 25
2 0 -2, 35.4, 25
1 2 -1, 27.5, 21
3 0 0, 63.4, 18

Structural model:
a = 5.0859 Å, b = 8.4574 Å, c = 8.8953 Å
α = 90.00°, β = 120.03°, γ = 90.00°
Atoms (fractional coordinates):
Co  0.0000  0.0000  0.0000
Co  0.0000  0.5000  0.5000
Co  0.0211  0.1423  0.6103
Co  0.0211  0.3577  0.1103
Co  0.9789  0.6423  0.8897
Co  0.9789  0.8577  0.3897
P  0.3372  0.6911  0.3028
P  0.3372  0.8089  0.8028
P  0.6628  0.1911  0.1972
P  0.6628  0.3089  0.6972
O  0.1883  0.5778  0.1431
O  0.1883  0.9222  0.6431
O  0.1908  0.6413  0.7478
O  0.1908  0.8587  0.2478
O  0.2690  0.6373  0.4463
O  0.2690  0.8627  0.9463
O  0.3152  0.1926  0.1254
O  0.3152  0.3074  0.6254
O  0.6848  0.6926  0.3746
O  0.6848  0.8074  0.8746
O  0.7310  0.1373  0.0537
O  0.7310  0.3627  0.5537
O  0.8092  0.1413  0.7522
O  0.8092  0.3587  0.2522
O  0.8117  0.0778  0.3569
O  0.8117  0.4222  0.8569